Diffraction record for Tb3TmPb2N2. The PXRD pattern is simulated, not measured: it uses a cell relaxed with PBE and a wavelength of 1.5418 Å.
Neutral-atom scattering factors, no anomalous dispersion.

The 10 most intense peaks (10 to 90 degrees two-theta), sorted by position:
| 2θ/deg | d_spacing | Rel. int. |
| --- | --- | --- |
| 29.08 | 3.071 | 22 |
| 33.89 | 2.645 | 100 |
| 34.43 | 2.605 | 20 |
| 45.67 | 1.986 | 16 |
| 51.55 | 1.773 | 22 |
| 61.33 | 1.512 | 18 |
| 63.13 | 1.473 | 17 |
| 63.47 | 1.466 | 21 |
| 84.17 | 1.150 | 8 |
| 85.76 | 1.133 | 15 |

Atomic structure:
abc: 3.5460 3.5460 15.6276
angles: 90.00 90.00 120.00
Element x y z (fractional)
Tb 0.0000 0.0000 0.0000
Tb 0.0000 0.0000 0.3337
Tb 0.3333 0.6667 0.5021
Tm 0.3333 0.6667 0.8350
Pb 0.0000 0.0000 0.6702
Pb 0.3333 0.6667 0.1664
N 0.6667 0.3333 0.4178
N 0.6667 0.3333 0.9124

Diffraction record for KRbAu2S2. The PXRD pattern is simulated, not measured: it uses a cell relaxed with PBE and a wavelength of 1.5418 Å.
Neutral-atom scattering factors, no anomalous dispersion.

The 10 most intense peaks (10 to 90 degrees two-theta), sorted by position:
| 2θ/deg | d_spacing | Rel. int. |
| --- | --- | --- |
| 17.43 | 5.089 | 100 |
| 21.88 | 4.063 | 32 |
| 27.32 | 3.264 | 57 |
| 31.24 | 2.863 | 98 |
| 34.01 | 2.636 | 37 |
| 35.27 | 2.545 | 20 |
| 35.90 | 2.502 | 30 |
| 44.16 | 2.051 | 36 |
| 44.67 | 2.028 | 26 |
| 50.81 | 1.797 | 26 |

Atomic structure:
abc: 6.9274 6.5279 8.1256
angles: 90.00 90.00 90.00
Element x y z (fractional)
K 0.0000 0.0000 0.0000
K 0.0000 0.5000 0.5000
Rb 0.5000 0.0000 0.2548
Rb 0.5000 0.5000 0.7548
Au 0.2492 0.0000 0.6296
Au 0.2492 0.5000 0.1296
Au 0.7508 0.0000 0.6296
Au 0.7508 0.5000 0.1296
S 0.0000 0.0000 0.4362
S 0.0000 0.5000 0.9362
S 0.5000 0.0000 0.8218
S 0.5000 0.5000 0.3218

Diffraction record for Re3As7. The PXRD pattern is simulated, not measured: it uses a cell relaxed with PBE and a wavelength of 1.5418 Å.
Neutral-atom scattering factors, no anomalous dispersion.

The 10 most intense peaks (10 to 90 degrees two-theta), sorted by position:
| 2θ/deg | d_spacing | Rel. int. |
| --- | --- | --- |
| 20.08 | 4.422 | 17 |
| 24.66 | 3.610 | 50 |
| 35.15 | 2.553 | 30 |
| 38.07 | 2.363 | 15 |
| 43.41 | 2.084 | 100 |
| 48.27 | 1.885 | 7 |
| 50.56 | 1.805 | 20 |
| 63.08 | 1.474 | 20 |
| 68.80 | 1.365 | 16 |
| 79.68 | 1.203 | 36 |

Atomic structure:
abc: 7.6584 7.6584 7.6584
angles: 109.47 109.47 109.47
Element x y z (fractional)
Re 0.0000 0.3404 0.3404
Re 0.0000 0.6596 0.6596
Re 0.3404 0.0000 0.3404
Re 0.3404 0.3404 0.0000
Re 0.6596 0.0000 0.6596
Re 0.6596 0.6596 0.0000
As 0.0000 0.0000 0.3318
As 0.0000 0.0000 0.6682
As 0.0000 0.3318 0.0000
As 0.0000 0.6682 0.0000
As 0.2500 0.5000 0.7500
As 0.2500 0.7500 0.5000
As 0.3318 0.0000 0.0000
As 0.3318 0.3318 0.3318
As 0.5000 0.2500 0.7500
As 0.5000 0.7500 0.2500
As 0.6682 0.0000 0.0000
As 0.6682 0.6682 0.6682
As 0.7500 0.2500 0.5000
As 0.7500 0.5000 0.2500

Diffraction record for NdSc2Cu4Ge4. The PXRD pattern is simulated, not measured: it uses a cell relaxed with PBE and a wavelength of 1.5418 Å.
Neutral-atom scattering factors, no anomalous dispersion.

The 10 most intense peaks (10 to 90 degrees two-theta), sorted by position:
| 2θ/deg | d_spacing | Rel. int. |
| --- | --- | --- |
| 14.61 | 6.061 | 17 |
| 25.57 | 3.484 | 17 |
| 35.13 | 2.555 | 100 |
| 35.56 | 2.524 | 26 |
| 36.94 | 2.434 | 93 |
| 39.76 | 2.267 | 23 |
| 44.60 | 2.032 | 45 |
| 44.86 | 2.020 | 36 |
| 48.42 | 1.880 | 41 |
| 65.11 | 1.433 | 22 |

Atomic structure:
abc: 7.8640 7.8640 7.8640
angles: 150.05 129.00 60.27
Element x y z (fractional)
Nd 0.0000 0.0000 0.0000
Sc 0.3733 0.8733 0.5000
Sc 0.6267 0.1267 0.5000
Cu 0.0210 0.3276 0.6933
Cu 0.3657 0.6724 0.6933
Cu 0.6343 0.3276 0.3067
Cu 0.9790 0.6724 0.3067
Ge 0.2227 0.2227 0.0000
Ge 0.3167 0.5000 0.8167
Ge 0.6833 0.5000 0.1833
Ge 0.7773 0.7773 0.0000

Diffraction record for Al2FeSe3S. The PXRD pattern is simulated, not measured: it uses a cell relaxed with PBE and a wavelength of 1.5418 Å.
Neutral-atom scattering factors, no anomalous dispersion.

The 10 most intense peaks (10 to 90 degrees two-theta), sorted by position:
| 2θ/deg | d_spacing | Rel. int. |
| --- | --- | --- |
| 17.89 | 4.958 | 17 |
| 27.79 | 3.210 | 56 |
| 28.15 | 3.170 | 100 |
| 28.25 | 3.159 | 51 |
| 45.60 | 1.989 | 22 |
| 46.23 | 1.964 | 21 |
| 46.84 | 1.940 | 41 |
| 47.17 | 1.927 | 20 |
| 47.41 | 1.917 | 19 |
| 54.80 | 1.675 | 22 |

Atomic structure:
abc: 5.5772 5.6052 6.6184
angles: 115.04 113.98 90.75
Element x y z (fractional)
Al 0.0000 0.0000 0.0000
Al 0.2420 0.7556 0.5096
Fe 0.4864 0.4860 0.9978
Se 0.3803 0.8884 0.2637
Se 0.6209 0.6139 0.7396
Se 0.8692 0.3679 0.2643
S 0.1238 0.1121 0.7554

Diffraction record for K3PdBr6. The PXRD pattern is simulated, not measured: it uses a cell relaxed with PBE and a wavelength of 1.5418 Å.
Neutral-atom scattering factors, no anomalous dispersion.

The 10 most intense peaks (10 to 90 degrees two-theta), sorted by position:
| 2θ/deg | d_spacing | Rel. int. |
| --- | --- | --- |
| 13.61 | 6.508 | 39 |
| 15.72 | 5.637 | 65 |
| 27.41 | 3.254 | 67 |
| 31.75 | 2.818 | 100 |
| 35.62 | 2.521 | 27 |
| 41.63 | 2.169 | 21 |
| 45.52 | 1.993 | 65 |
| 53.95 | 1.699 | 22 |
| 56.56 | 1.627 | 21 |
| 75.42 | 1.260 | 22 |

Atomic structure:
abc: 7.9712 7.9712 7.9712
angles: 60.00 60.00 60.00
Element x y z (fractional)
K 0.0000 0.0000 0.0000
K 0.2500 0.2500 0.2500
K 0.7500 0.7500 0.7500
Pd 0.5000 0.5000 0.5000
Br 0.2726 0.2726 0.7274
Br 0.2726 0.7274 0.2726
Br 0.2726 0.7274 0.7274
Br 0.7274 0.2726 0.2726
Br 0.7274 0.2726 0.7274
Br 0.7274 0.7274 0.2726

Diffraction record for Dy2HoIn3CuPt2. The PXRD pattern is simulated, not measured: it uses a cell relaxed with PBE and a wavelength of 1.5418 Å.
Neutral-atom scattering factors, no anomalous dispersion.

The 10 most intense peaks (10 to 90 degrees two-theta), sorted by position:
| 2θ/deg | d_spacing | Rel. int. |
| --- | --- | --- |
| 33.36 | 2.686 | 100 |
| 35.45 | 2.532 | 51 |
| 36.02 | 2.493 | 82 |
| 40.39 | 2.233 | 39 |
| 43.17 | 2.095 | 22 |
| 48.79 | 1.867 | 21 |
| 49.03 | 1.858 | 15 |
| 61.74 | 1.502 | 20 |
| 65.14 | 1.432 | 19 |
| 65.70 | 1.421 | 28 |

Atomic structure:
abc: 3.7332 7.7339 7.7339
angles: 119.96 90.00 90.00
Element x y z (fractional)
Dy 0.0000 0.2058 0.7942
Dy 0.0000 0.7942 0.2058
Ho 0.0000 0.3826 0.3826
In 0.5000 0.0488 0.0488
In 0.5000 0.5396 0.7940
In 0.5000 0.7940 0.5396
Cu 0.0000 0.7940 0.7940
Pt 0.5000 0.1283 0.4605
Pt 0.5000 0.4605 0.1283

Diffraction record for Pm6ErS8. The PXRD pattern is simulated, not measured: it uses a cell relaxed with PBE and a wavelength of 1.5418 Å.
Neutral-atom scattering factors, no anomalous dispersion.

The 10 most intense peaks (10 to 90 degrees two-theta), sorted by position:
| 2θ/deg | d_spacing | Rel. int. |
| --- | --- | --- |
| 13.52 | 6.551 | 18 |
| 27.22 | 3.276 | 67 |
| 31.54 | 2.837 | 100 |
| 45.20 | 2.006 | 72 |
| 53.57 | 1.711 | 34 |
| 56.16 | 1.638 | 25 |
| 65.84 | 1.418 | 12 |
| 72.64 | 1.302 | 14 |
| 74.84 | 1.269 | 32 |
| 83.46 | 1.158 | 24 |

Atomic structure:
abc: 8.0238 8.0238 8.0238
angles: 60.00 60.00 60.00
Element x y z (fractional)
Pm 0.0000 0.0000 0.5000
Pm 0.0000 0.5000 0.0000
Pm 0.0000 0.5000 0.5000
Pm 0.5000 0.0000 0.0000
Pm 0.5000 0.0000 0.5000
Pm 0.5000 0.5000 0.0000
Er 0.0000 0.0000 0.0000
S 0.2426 0.2426 0.7574
S 0.2426 0.7574 0.2426
S 0.2426 0.7574 0.7574
S 0.2500 0.2500 0.2500
S 0.7500 0.7500 0.7500
S 0.7574 0.2426 0.2426
S 0.7574 0.2426 0.7574
S 0.7574 0.7574 0.2426

Diffraction record for Zr2HgPd3. The PXRD pattern is simulated, not measured: it uses a cell relaxed with PBE and a wavelength of 1.5418 Å.
Neutral-atom scattering factors, no anomalous dispersion.

The 10 most intense peaks (10 to 90 degrees two-theta), sorted by position:
| 2θ/deg | d_spacing | Rel. int. |
| --- | --- | --- |
| 27.25 | 3.273 | 8 |
| 36.05 | 2.491 | 68 |
| 39.90 | 2.259 | 100 |
| 51.90 | 1.762 | 24 |
| 67.41 | 1.389 | 42 |
| 74.93 | 1.267 | 14 |
| 76.47 | 1.246 | 7 |
| 86.07 | 1.130 | 10 |
| 87.57 | 1.114 | 11 |
| 89.94 | 1.091 | 10 |

Atomic structure:
abc: 3.5233 3.5233 8.8326
angles: 90.00 90.00 90.00
Element x y z (fractional)
Zr 0.0000 0.0000 0.0000
Zr 0.5000 0.5000 0.4709
Hg 0.0000 0.0000 0.6614
Pd 0.0000 0.0000 0.3258
Pd 0.5000 0.5000 0.1523
Pd 0.5000 0.5000 0.8292

Diffraction record for PrGaCuSnPd. The PXRD pattern is simulated, not measured: it uses a cell relaxed with PBE and a wavelength of 1.5418 Å.
Neutral-atom scattering factors, no anomalous dispersion.

The 10 most intense peaks (10 to 90 degrees two-theta), sorted by position:
| 2θ/deg | d_spacing | Rel. int. |
| --- | --- | --- |
| 28.38 | 3.145 | 41 |
| 32.62 | 2.745 | 100 |
| 33.23 | 2.696 | 86 |
| 40.56 | 2.224 | 81 |
| 45.07 | 2.011 | 23 |
| 48.04 | 1.894 | 34 |
| 52.99 | 1.728 | 51 |
| 58.71 | 1.573 | 27 |
| 64.64 | 1.442 | 28 |
| 69.16 | 1.358 | 20 |

Atomic structure:
abc: 4.4481 4.4481 10.4657
angles: 90.00 90.00 90.00
Element x y z (fractional)
Pr 0.2500 0.2500 0.2492
Pr 0.7500 0.7500 0.7508
Ga 0.2500 0.7500 0.0000
Ga 0.7500 0.2500 0.0000
Cu 0.2500 0.7500 0.5000
Cu 0.7500 0.2500 0.5000
Sn 0.2500 0.2500 0.6343
Sn 0.7500 0.7500 0.3657
Pd 0.2500 0.2500 0.8845
Pd 0.7500 0.7500 0.1155

Diffraction record for Li2HfCoSi2Ir2. The PXRD pattern is simulated, not measured: it uses a cell relaxed with PBE and a wavelength of 1.5418 Å.
Neutral-atom scattering factors, no anomalous dispersion.

The 10 most intense peaks (10 to 90 degrees two-theta), sorted by position:
| 2θ/deg | d_spacing | Rel. int. |
| --- | --- | --- |
| 25.70 | 3.466 | 100 |
| 42.42 | 2.131 | 74 |
| 42.94 | 2.106 | 36 |
| 49.80 | 1.831 | 17 |
| 50.72 | 1.800 | 32 |
| 62.35 | 1.489 | 12 |
| 67.82 | 1.382 | 14 |
| 77.24 | 1.235 | 13 |
| 78.33 | 1.221 | 25 |
| 84.43 | 1.147 | 8 |

Atomic structure:
abc: 4.2122 4.2122 6.1001
angles: 90.00 90.00 90.00
Element x y z (fractional)
Li 0.0000 0.5000 0.2151
Li 0.5000 0.0000 0.7849
Hf 0.0000 0.0000 0.5000
Co 0.5000 0.5000 0.0000
Si 0.0000 0.0000 0.0000
Si 0.5000 0.5000 0.5000
Ir 0.0000 0.5000 0.7552
Ir 0.5000 0.0000 0.2448

Diffraction record for KZn2CdB2O6F. The PXRD pattern is simulated, not measured: it uses a cell relaxed with PBE and a wavelength of 1.5418 Å.
Neutral-atom scattering factors, no anomalous dispersion.

The 10 most intense peaks (10 to 90 degrees two-theta), sorted by position:
| 2θ/deg | d_spacing | Rel. int. |
| --- | --- | --- |
| 11.84 | 7.473 | 43 |
| 21.21 | 4.190 | 31 |
| 23.61 | 3.769 | 19 |
| 31.52 | 2.838 | 100 |
| 35.63 | 2.520 | 59 |
| 41.79 | 2.162 | 24 |
| 48.30 | 1.884 | 27 |
| 61.44 | 1.509 | 23 |
| 61.82 | 1.501 | 23 |
| 64.00 | 1.455 | 16 |

Atomic structure:
abc: 5.0398 5.0398 14.9451
angles: 90.00 90.00 120.00
Element x y z (fractional)
K 0.0000 0.0000 0.2500
K 0.0000 0.0000 0.7500
Zn 0.3333 0.6667 0.1151
Zn 0.3333 0.6667 0.3849
Zn 0.6667 0.3333 0.6151
Zn 0.6667 0.3333 0.8849
Cd 0.0000 0.0000 0.0000
Cd 0.0000 0.0000 0.5000
B 0.3333 0.6667 0.5964
B 0.3333 0.6667 0.9036
B 0.6667 0.3333 0.0964
B 0.6667 0.3333 0.4036
O 0.0689 0.3843 0.5967
O 0.0689 0.6846 0.9033
O 0.3154 0.3843 0.9033
O 0.3154 0.9311 0.5967
O 0.3843 0.0689 0.0967
O 0.3843 0.3154 0.4033
O 0.6157 0.6846 0.5967
O 0.6157 0.9311 0.9033
O 0.6846 0.0689 0.4033
O 0.6846 0.6157 0.0967
O 0.9311 0.3154 0.0967
O 0.9311 0.6157 0.4033
F 0.3333 0.6667 0.2500
F 0.6667 0.3333 0.7500

Diffraction record for Dy2SiNi. The PXRD pattern is simulated, not measured: it uses a cell relaxed with PBE and a wavelength of 1.5418 Å.
Neutral-atom scattering factors, no anomalous dispersion.

The 10 most intense peaks (10 to 90 degrees two-theta), sorted by position:
| 2θ/deg | d_spacing | Rel. int. |
| --- | --- | --- |
| 28.21 | 3.163 | 43 |
| 30.40 | 2.940 | 56 |
| 30.59 | 2.923 | 65 |
| 32.74 | 2.735 | 100 |
| 33.88 | 2.646 | 54 |
| 34.23 | 2.620 | 56 |
| 36.73 | 2.447 | 43 |
| 37.92 | 2.373 | 41 |
| 47.41 | 1.918 | 39 |
| 59.75 | 1.548 | 35 |

Atomic structure:
abc: 5.5942 3.8354 7.8040
angles: 90.00 90.89 90.00
Element x y z (fractional)
Dy 0.1195 0.2500 0.1935
Dy 0.3804 0.2500 0.6688
Dy 0.6196 0.7500 0.3312
Dy 0.8805 0.7500 0.8065
Si 0.3723 0.7500 0.9643
Si 0.6277 0.2500 0.0357
Ni 0.1207 0.7500 0.4673
Ni 0.8793 0.2500 0.5327

Diffraction record for GdLuNb2Ge2. The PXRD pattern is simulated, not measured: it uses a cell relaxed with PBE and a wavelength of 1.5418 Å.
Neutral-atom scattering factors, no anomalous dispersion.

The 10 most intense peaks (10 to 90 degrees two-theta), sorted by position:
| 2θ/deg | d_spacing | Rel. int. |
| --- | --- | --- |
| 31.42 | 2.847 | 33 |
| 31.90 | 2.805 | 78 |
| 33.49 | 2.676 | 100 |
| 34.40 | 2.607 | 38 |
| 39.14 | 2.302 | 84 |
| 41.26 | 2.188 | 26 |
| 45.03 | 2.013 | 66 |
| 56.24 | 1.636 | 32 |
| 57.87 | 1.593 | 34 |
| 81.51 | 1.181 | 24 |

Atomic structure:
abc: 4.0268 4.0268 7.8202
angles: 90.00 90.00 90.00
Element x y z (fractional)
Gd 0.0000 0.0000 0.0000
Lu 0.5000 0.5000 0.2958
Nb 0.0000 0.5000 0.6419
Nb 0.5000 0.0000 0.6419
Ge 0.0000 0.0000 0.3944
Ge 0.5000 0.5000 0.8891